Theoretical XRD peak list of Zn2CuN2 for Cu Ka, from a DFT-relaxed cell (GGA-PBE, the Materials Project).

Structural model:
a = 11.275 Å, b = 3.585 Å, c = 7.336 Å
α = 90.00°, β = 120.47°, γ = 90.00°
Space group C2/m (No. 12)
Unique sites:
Zn 0.082 0.000 0.277 [4 per cell]
Zn 0.157 0.500 0.011 [4 per cell]
Cu 0.128 0.500 0.596 [4 per cell]
N 0.011 0.500 0.298 [4 per cell]
N 0.200 0.000 0.145 [4 per cell]

Principal peaks in the range 2θ from 5° to 70°, by intensity:
35.39°, d 2.536, I 100
34.58°, d 2.594, I 53
50.94°, d 1.793, I 47
37.42°, d 2.403, I 34
27.77°, d 3.212, I 33
37.00°, d 2.429, I 32
56.11°, d 1.639, I 29
39.96°, d 2.256, I 29
32.27°, d 2.774, I 27
33.21°, d 2.697, I 25

=====

Theoretical XRD peak list of ZnCu2N2 for Cu Ka, from a DFT-relaxed cell (GGA-PBE, the Materials Project).

Structural model:
a = 3.551 Å, b = 3.551 Å, c = 5.343 Å
α = 90.00°, β = 90.00°, γ = 90.00°
Space group P-4m2 (No. 115)
Unique sites:
Zn 0.000 0.000 0.000 [1 per cell]
Cu 0.500 0.500 0.278 [2 per cell]
N 0.000 0.500 0.791 [2 per cell]

Principal peaks in the range 2θ from 5° to 70°, by intensity:
42.34°, d 2.135, I 100
35.76°, d 2.511, I 67
30.22°, d 2.958, I 63
68.76°, d 1.365, I 43
51.46°, d 1.776, I 37
25.08°, d 3.551, I 23
16.59°, d 5.343, I 20
64.10°, d 1.453, I 16
60.85°, d 1.522, I 15
33.55°, d 2.671, I 8

=====

Theoretical XRD peak list of Zn5CuN4 for Cu Ka, from a DFT-relaxed cell (GGA-PBE, the Materials Project).

Structural model:
a = 6.332 Å, b = 7.609 Å, c = 5.076 Å
α = 90.00°, β = 90.00°, γ = 90.00°
Space group Pmmn (No. 59, origin choice 2)
Unique sites:
Zn 0.005 0.069 0.237 [8 per cell]
Zn 0.250 0.250 0.761 [2 per cell]
Cu 0.250 0.750 0.273 [2 per cell]
N 0.000 0.250 0.513 [4 per cell]
N 0.250 0.013 0.982 [4 per cell]

Principal peaks in the range 2θ from 5° to 70°, by intensity:
35.41°, d 2.535, I 100
39.73°, d 2.269, I 63
52.07°, d 1.757, I 42
36.94°, d 2.434, I 33
58.29°, d 1.583, I 12
66.42°, d 1.407, I 11
63.53°, d 1.464, I 11
28.19°, d 3.166, I 10
49.42°, d 1.844, I 7
45.82°, d 1.980, I 5

=====

Theoretical XRD peak list of Na3Cu for Cu Ka, from a DFT-relaxed cell (GGA-PBE, the Materials Project).

Structural model:
a = 4.861 Å, b = 4.861 Å, c = 8.578 Å
α = 90.00°, β = 90.00°, γ = 90.00°
Space group I4/mmm (No. 139)
Unique sites:
Na 0.000 0.000 0.000 [2 per cell]
Na 0.000 0.500 0.250 [4 per cell]
Cu 0.000 0.000 0.500 [2 per cell]

Principal peaks in the range 2θ from 5° to 70°, by intensity:
33.41°, d 2.682, I 100
36.99°, d 2.430, I 38
21.01°, d 4.229, I 31
64.38°, d 1.447, I 26
57.29°, d 1.608, I 19
42.14°, d 2.145, I 13
53.30°, d 1.719, I 12
42.92°, d 2.107, I 10
25.92°, d 3.437, I 9
20.71°, d 4.289, I 8

=====

Theoretical XRD peak list of NaTi3NbCu3O12 for Cu Ka, from a DFT-relaxed cell (GGA-PBE, the Materials Project).

Structural model:
a = 10.6229 Å, b = 10.6229 Å, c = 6.4842 Å
α = 90.00°, β = 90.00°, γ = 120.00°
Space group R-3 (No. 148, hexagonal axes)
Unique sites:
Na 0.0000 0.0000 0.0000 [3 per cell]
Ti 0.0000 0.5000 0.5000 [9 per cell]
Nb 0.0000 0.0000 0.5000 [3 per cell]
Cu 0.0000 0.5000 0.0000 [9 per cell]
O 0.0169 0.1630 0.6781 [18 per cell]
O 0.0425 0.2643 0.0845 [18 per cell]

Principal peaks in the range 2θ from 5° to 70°, by intensity:
33.79°, d 2.653, I 100
60.40°, d 1.533, I 38
48.53°, d 1.876, I 28
16.73°, d 5.300, I 15
60.56°, d 1.529, I 12
29.14°, d 3.064, I 11
37.91°, d 2.373, I 9
45.19°, d 2.007, I 4
51.74°, d 1.767, I 3
57.57°, d 1.601, I 2

=====

Theoretical XRD peak list of NaCu3NiSe4 for Cu Ka, from a DFT-relaxed cell (GGA-PBE, the Materials Project).

Structural model:
a = 5.836 Å, b = 5.836 Å, c = 5.836 Å
α = 90.00°, β = 90.00°, γ = 90.00°
Space group P-43m (No. 215)
Unique sites:
Na 0.000 0.000 0.000 [1 per cell]
Cu 0.000 0.500 0.500 [3 per cell]
Ni 0.500 0.500 0.500 [1 per cell]
Se 0.272 0.272 0.728 [4 per cell]

Principal peaks in the range 2θ from 5° to 70°, by intensity:
43.88°, d 2.063, I 100
26.45°, d 3.370, I 95
15.18°, d 5.836, I 51
51.96°, d 1.760, I 38
63.79°, d 1.459, I 14
56.88°, d 1.619, I 14
46.69°, d 1.945, I 11
37.76°, d 2.383, I 7
34.36°, d 2.610, I 5
68.17°, d 1.376, I 5